This entry pairs a crystal structure of CeTmP2O8 with its theoretical powder XRD pattern. Radiation: copper Kα. Structure: a DFT-relaxed cell (GGA-PBE, Alexandria).

Atomic structure:
```
data_CeTmP2O8
_symmetry_space_group_name_H-M 'P -3 m 1'
_symmetry_Int_Tables_number 164
_symmetry_space_group_name_Hall '-P 3 2"'
_cell_length_a 5.2657
_cell_length_b 5.2657
_cell_length_c 7.1119
_cell_angle_alpha 90.00
_cell_angle_beta 90.00
_cell_angle_gamma 120.00
loop_
_atom_site_label
_atom_site_type_symbol
_atom_site_fract_x
_atom_site_fract_y
_atom_site_fract_z
Ce1 Ce 0.0000 0.0000 0.0000
Tm1 Tm 0.0000 0.0000 0.5000
P1 P 0.3333 0.6667 0.7896
O1 O 0.1732 0.3464 0.7151
O2 O 0.3333 0.6667 0.0047
```

Principal peaks in the range 10 to 90 degrees two-theta, in order of rising 2θ:
index, d (Å), Position (°2θ), I (rel.)
1 0 0, 4.560, 19.47, 100
1 0 2, 2.804, 31.91, 77
1 1 0, 2.633, 34.05, 47
1 1 2, 2.116, 42.73, 36
0 2 2, 1.919, 47.36, 36
2 1 2, 1.551, 59.61, 25